[1]
HgGeN: simulated PXRD pattern (Cu Kα), based on a cell relaxed with GGA-PBE.
Neutral-atom scattering factors, no anomalous dispersion.

The 10 most intense peaks (10° ≤ 2θ ≤ 90°), low angle first:
2θ 10.43, I = 63
2θ 25.91, I = 100
2θ 26.35, I = 34
2θ 31.80, I = 48
2θ 31.93, I = 23
2θ 35.40, I = 39
2θ 38.19, I = 45
2θ 39.88, I = 83
2θ 53.59, I = 23
2θ 65.88, I = 21

Cell and atoms:
```
12
Lattice="5.606 0.000 0.000 0.000 8.485 0.000 0.000 0.000 5.071" Properties=species:S:1:pos:R:3 pbc="T T T"
Hg 0.372 0.855 0.000
Hg 2.431 0.855 2.535
Hg 3.175 7.630 0.000
Hg 5.234 7.630 2.535
Ge 0.444 5.091 2.881
Ge 2.359 5.091 0.346
Ge 3.247 3.394 2.881
Ge 5.162 3.394 0.346
N 0.663 4.735 4.703
N 2.140 4.735 2.167
N 3.466 3.750 4.703
N 4.943 3.750 2.167
```

[2]
La7SbC2: simulated PXRD pattern (Cu Kα), based on a cell relaxed with GGA-PBE.
Neutral-atom scattering factors, no anomalous dispersion.

The 10 most intense peaks (10° ≤ 2θ ≤ 90°), low angle first:
2θ 25.86, I = 52
2θ 28.15, I = 27
2θ 29.13, I = 100
2θ 33.09, I = 35
2θ 33.22, I = 23
2θ 33.80, I = 40
2θ 34.38, I = 30
2θ 37.14, I = 35
2θ 54.77, I = 27
2θ 60.45, I = 28

Cell and atoms:
```
10
Lattice="4.903 -6.494 0.000 4.903 6.494 0.000 0.000 0.000 4.842" Properties=species:S:1:pos:R:3 pbc="T T T"
La 0.000 0.000 0.000
La 3.122 1.709 0.000
La 4.903 3.992 2.421
La 3.122 -1.709 0.000
La 6.684 1.709 0.000
La 4.903 -3.992 2.421
La 6.684 -1.709 0.000
Sb 4.903 0.000 2.421
C 4.903 3.478 0.000
C 4.903 -3.478 0.000
```